For Y3Si2Ni4Ge2, a DFT-relaxed cell (GGA-PBE, OQMD) gives the calculated X-ray diffraction stick pattern in this record (Cu Ka).

```
11
Lattice="-2.014 3.338 6.776 2.014 -3.338 6.776 2.014 3.338 -6.776" Properties=species:S:1:pos:R:3 pbc="T T T"
Y 0.000 0.000 0.000
Y 2.014 0.000 5.028
Y 0.000 3.338 1.749
Si 0.000 0.000 2.952
Si 0.000 0.000 10.600
Ni 2.014 1.306 -2.473
Ni 2.014 1.306 2.473
Ni 0.000 2.032 4.303
Ni 0.000 2.032 9.249
Ge 2.014 2.041 0.000
Ge 0.000 1.297 6.776
```

Peak list (12 most intense, 15 to 90 degrees two-theta, in order of falling intensity)
d (Å)  intensity
2.525  100.0
2.417  67.5
1.996  39.6
2.014  38.2
1.418  24.7
2.249  23.5
3.073  23.2
1.865  21.6
2.259  21.5
2.511  20.2
1.872  15.5
1.187  11.7

For TbSm2Ni4Ge4, a DFT-relaxed cell (GGA-PBE, OQMD) gives the calculated X-ray diffraction stick pattern in this record (Cu Ka).

```
11
Lattice="-2.085 3.360 6.876 2.085 -3.360 6.876 2.085 3.360 -6.876" Properties=species:S:1:pos:R:3 pbc="T T T"
Tb 0.000 0.000 0.000
Sm 2.085 0.000 5.086
Sm 0.000 3.360 1.790
Ni 2.085 1.301 -2.432
Ni 2.085 1.301 2.432
Ni 0.000 2.060 4.444
Ni 0.000 2.060 9.308
Ge 0.000 0.000 2.969
Ge 2.085 2.044 0.000
Ge 0.000 1.316 6.876
Ge 0.000 0.000 10.783
```

Peak list (12 most intense, 15 to 90 degrees two-theta, in order of falling intensity)
d (Å)  intensity
2.571  100.0
2.468  97.6
2.085  39.2
2.546  31.5
2.013  28.6
1.896  22.5
2.293  21.4
1.448  19.2
1.613  15.5
1.199  14.7
3.360  11.9
1.266  11.7

For Ni5Sn3Ge2, a DFT-relaxed cell (GGA-PBE, OQMD) gives the calculated X-ray diffraction stick pattern in this record (Cu Ka).

```
20
Lattice="2.003 -6.459 0.000 2.003 6.459 0.000 0.000 0.000 12.058" Properties=species:S:1:pos:R:3 pbc="T T T"
Ni 2.003 6.169 7.793
Ni 2.003 6.169 10.294
Ni 2.003 4.346 3.014
Ni 2.003 2.051 1.665
Ni 2.003 2.051 4.364
Ni 2.003 -2.051 7.694
Ni 2.003 -2.051 10.393
Ni 2.003 -4.346 9.043
Ni 2.003 -6.169 1.764
Ni 2.003 -6.169 4.265
Sn 2.003 4.308 0.367
Sn 2.003 4.308 5.662
Sn 2.003 0.000 0.000
Sn 2.003 0.000 6.029
Sn 2.003 -4.308 6.396
Sn 2.003 -4.308 11.691
Ge 2.003 3.859 9.043
Ge 2.003 0.509 9.043
Ge 2.003 -0.509 3.014
Ge 2.003 -3.859 3.014
```

Peak list (12 most intense, 15 to 90 degrees two-theta, in order of falling intensity)
d (Å)  intensity
2.102  100.0
2.003  31.0
2.153  24.3
2.137  24.0
2.933  22.7
2.637  18.8
2.771  17.6
2.259  17.2
1.175  14.9
1.467  14.1
3.014  10.6
1.499  10.0

For SrYNi2Ge4, a DFT-relaxed cell (GGA-PBE, OQMD) gives the calculated X-ray diffraction stick pattern in this record (Cu Ka).

```
16
Lattice="4.172 0.000 0.000 0.000 4.246 0.000 0.000 0.000 17.102" Properties=species:S:1:pos:R:3 pbc="T T T"
Sr 0.000 0.000 0.000
Sr 0.000 2.123 8.551
Y 2.086 0.000 3.706
Y 2.086 2.123 12.257
Ni 0.000 0.000 13.428
Ni 0.000 2.123 4.877
Ni 2.086 0.000 7.246
Ni 2.086 2.123 15.797
Ge 0.000 0.000 6.064
Ge 0.000 0.000 11.142
Ge 0.000 2.123 2.591
Ge 0.000 2.123 14.615
Ge 2.086 0.000 9.673
Ge 2.086 0.000 14.592
Ge 2.086 2.123 1.122
Ge 2.086 2.123 6.041
```

Peak list (12 most intense, 15 to 90 degrees two-theta, in order of falling intensity)
d (Å)  intensity
2.638  100.0
2.664  34.7
2.123  33.3
2.086  31.6
2.354  31.0
1.488  21.3
1.577  17.2
1.642  15.4
1.888  14.9
2.932  13.3
1.734  13.1
1.903  12.0

For Ta2Ni2Ge3, a DFT-relaxed cell (GGA-PBE, OQMD) gives the calculated X-ray diffraction stick pattern in this record (Cu Ka).

```
7
Lattice="2.014 1.163 8.061 -2.014 1.163 8.061 0.000 -2.325 8.061" Properties=species:S:1:pos:R:3 pbc="T T T"
Ta 0.000 0.000 0.000
Ta 0.000 0.000 11.891
Ni 0.000 0.000 5.990
Ni 0.000 0.000 17.967
Ge 0.000 0.000 9.403
Ge 0.000 0.000 14.797
Ge 0.000 0.000 20.849
```

Peak list (12 most intense, 15 to 90 degrees two-theta, in order of falling intensity)
d (Å)  intensity
2.284  100.0
2.014  85.5
3.351  40.8
3.021  36.0
1.510  26.8
1.208  25.4
1.163  13.2
1.387  13.0
1.987  12.6
1.142  11.4
1.424  11.3
4.030  11.2

For Tb3NiGe2, a DFT-relaxed cell (GGA-PBE, OQMD) gives the calculated X-ray diffraction stick pattern in this record (Cu Ka).

```
24
Lattice="11.448 0.000 0.000 0.000 4.201 0.000 0.000 0.000 11.312" Properties=species:S:1:pos:R:3 pbc="T T T"
Tb 0.645 1.050 1.447
Tb 1.362 3.151 6.321
Tb 2.512 1.050 9.108
Tb 3.212 3.151 3.452
Tb 4.362 1.050 0.665
Tb 5.079 3.151 7.103
Tb 6.369 1.050 4.210
Tb 7.086 3.151 10.647
Tb 8.236 1.050 7.860
Tb 8.936 3.151 2.204
Tb 10.086 1.050 4.991
Tb 10.803 3.151 9.866
Ni 1.470 1.050 4.179
Ni 4.254 3.151 9.835
Ni 7.194 1.050 1.477
Ni 9.978 3.151 7.133
Ge 0.212 3.151 3.537
Ge 2.211 3.151 11.302
Ge 3.513 1.050 5.646
Ge 5.512 1.050 9.193
Ge 5.936 3.151 2.119
Ge 7.935 3.151 5.667
Ge 9.238 1.050 0.010
Ge 11.236 1.050 7.775
```

Peak list (12 most intense, 15 to 90 degrees two-theta, in order of falling intensity)
d (Å)  intensity
2.806  100.0
2.101  88.0
2.527  83.3
2.743  82.4
2.906  59.7
3.243  52.3
3.163  51.6
2.315  48.2
2.775  33.7
2.725  33.2
1.774  32.9
2.171  29.5

For Tm2NiGe6, a DFT-relaxed cell (GGA-PBE, OQMD) gives the calculated X-ray diffraction stick pattern in this record (Cu Ka).

```
9
Lattice="1.963 -10.660 0.000 1.963 10.660 0.000 0.000 0.000 4.067" Properties=species:S:1:pos:R:3 pbc="T T T"
Tm 1.963 6.921 0.000
Tm 1.963 -6.921 0.000
Ni 1.963 0.000 2.033
Ge 1.963 9.187 2.033
Ge 1.963 4.477 2.033
Ge 1.963 1.428 0.000
Ge 1.963 -1.428 0.000
Ge 1.963 -4.477 2.033
Ge 1.963 -9.187 2.033
```

Peak list (12 most intense, 15 to 90 degrees two-theta, in order of falling intensity)
d (Å)  intensity
2.355  100.0
2.625  75.4
3.436  33.1
2.033  31.5
2.665  30.2
1.963  28.3
1.227  19.3
1.412  19.0
2.028  18.7
3.233  18.3
1.581  18.2
2.676  13.8

For TmNiGe3, a DFT-relaxed cell (GGA-PBE, OQMD) gives the calculated X-ray diffraction stick pattern in this record (Cu Ka).

```
10
Lattice="2.037 -10.839 0.000 2.037 10.839 0.000 0.000 0.000 4.054" Properties=species:S:1:pos:R:3 pbc="T T T"
Tm 2.037 7.180 0.000
Tm 2.037 -7.180 0.000
Ni 2.037 2.419 2.027
Ni 2.037 -2.419 2.027
Ge 2.037 9.592 2.027
Ge 2.037 4.699 2.027
Ge 2.037 1.242 0.000
Ge 2.037 -1.242 0.000
Ge 2.037 -4.699 2.027
Ge 2.037 -9.592 2.027
```

Peak list (12 most intense, 15 to 90 degrees two-theta, in order of falling intensity)
d (Å)  intensity
2.670  100.0
2.697  25.6
2.037  24.0
2.027  23.7
2.073  22.2
1.626  16.7
1.437  15.2
1.449  13.8
2.395  12.9
2.710  10.5
1.268  9.6
1.263  9.4